This entry pairs a crystal structure of Ho19Er4Tm6 with its theoretical powder XRD pattern. Radiation: λ = 1.5418 Å (Cu Kα). Structure: a cell relaxed with PBE.
Peak positions follow from Bragg's law for the DFT cell and can differ from measured ones.

Structural model:
Cell lengths 10.676, 10.676, 10.676 Å; angles 109.47, 109.47, 109.47 degrees
Fractional coordinates of all 29 atoms:
Ho1 0.000 0.000 0.000
Ho2 0.000 0.264 0.264
Ho3 0.000 0.736 0.736
Ho4 0.013 0.800 0.340
Ho5 0.200 0.212 0.539
Ho6 0.212 0.539 0.200
Ho7 0.264 0.000 0.264
Ho8 0.264 0.264 0.000
Ho9 0.327 0.788 0.987
Ho10 0.340 0.013 0.800
Ho11 0.461 0.673 0.660
Ho12 0.539 0.200 0.212
Ho13 0.660 0.461 0.673
Ho14 0.673 0.660 0.461
Ho15 0.736 0.000 0.736
Ho16 0.736 0.736 0.000
Ho17 0.788 0.987 0.327
Ho18 0.800 0.340 0.013
Ho19 0.987 0.327 0.788
Er1 0.000 0.000 0.644
Er2 0.000 0.644 0.000
Er3 0.356 0.356 0.356
Er4 0.644 0.000 0.000
Tm1 0.128 0.628 0.500
Tm2 0.372 0.500 0.872
Tm3 0.500 0.128 0.628
Tm4 0.500 0.872 0.372
Tm5 0.628 0.500 0.128
Tm6 0.872 0.372 0.500

Main lines, in order of rising 2θ (10° ≤ 2θ ≤ 80°):
two_theta, intensity
27.1, 47.4
29.0, 56.6
30.8, 100.0
35.7, 44.9
37.2, 73.1
61.1, 28.4

---

This entry pairs a crystal structure of Tm2ScTl3 with its theoretical powder XRD pattern. Radiation: λ = 1.5418 Å (Cu Kα). Structure: a cell relaxed with PBE.
Peak positions follow from Bragg's law for the DFT cell and can differ from measured ones.

Structural model:
Cell lengths 3.585, 3.585, 11.932 Å; angles 90.00, 90.00, 90.00 degrees
Fractional coordinates of all 6 atoms:
Tm1 0.000 0.000 0.171
Tm2 0.000 0.000 0.829
Sc1 0.000 0.000 0.500
Tl1 0.500 0.500 0.000
Tl2 0.500 0.500 0.343
Tl3 0.500 0.500 0.657

Main lines, in order of rising 2θ (10° ≤ 2θ ≤ 80°):
two_theta, intensity
33.7, 100.0
35.4, 44.3
50.9, 15.9
59.0, 19.3
62.5, 34.1
70.8, 11.4

---

This entry pairs a crystal structure of CoReSe4 with its theoretical powder XRD pattern. Radiation: λ = 1.5418 Å (Cu Kα). Structure: a cell relaxed with PBE.
Peak positions follow from Bragg's law for the DFT cell and can differ from measured ones.

Structural model:
Cell lengths 6.764, 6.764, 5.891 Å; angles 100.76, 100.76, 28.86 degrees
Fractional coordinates of all 6 atoms:
Co1 0.000 0.000 0.000
Re1 0.500 0.500 0.596
Se1 0.099 0.099 0.402
Se2 0.402 0.402 0.158
Se3 0.628 0.628 0.946
Se4 0.867 0.867 0.656

Main lines, in order of rising 2θ (10° ≤ 2θ ≤ 80°):
two_theta, intensity
13.8, 100.0
35.5, 69.1
36.5, 28.2
44.7, 15.0
49.5, 22.4
54.1, 14.7

---

This entry pairs a crystal structure of CaNdGaO4 with its theoretical powder XRD pattern. Radiation: λ = 1.5418 Å (Cu Kα). Structure: a cell relaxed with PBE.
Peak positions follow from Bragg's law for the DFT cell and can differ from measured ones.

Structural model:
Cell lengths 6.607, 6.607, 5.562 Å; angles 90.00, 90.00, 131.87 degrees
Fractional coordinates of all 14 atoms:
Ca1 0.103 0.897 0.500
Ca2 0.897 0.103 0.000
Nd1 0.390 0.610 0.533
Nd2 0.610 0.390 0.033
Ga1 0.246 0.754 0.018
Ga2 0.754 0.246 0.518
O1 0.018 0.478 0.264
O2 0.081 0.919 0.077
O3 0.423 0.577 0.956
O4 0.478 0.018 0.764
O5 0.522 0.982 0.264
O6 0.577 0.423 0.456
O7 0.919 0.081 0.577
O8 0.982 0.522 0.764

Main lines, in order of rising 2θ (10° ≤ 2θ ≤ 80°):
two_theta, intensity
18.0, 19.6
21.7, 25.2
32.1, 100.0
33.3, 26.4
44.3, 19.1
47.0, 27.8

---

This entry pairs a crystal structure of Rb3Pu3ZnSe8 with its theoretical powder XRD pattern. Radiation: λ = 1.5418 Å (Cu Kα). Structure: a cell relaxed with PBE.
Peak positions follow from Bragg's law for the DFT cell and can differ from measured ones.

Structural model:
Cell lengths 8.294, 8.294, 9.248 Å; angles 114.99, 114.99, 62.36 degrees
Fractional coordinates of all 15 atoms:
Rb1 0.000 0.000 0.000
Rb2 0.000 0.500 0.000
Rb3 0.500 0.000 0.000
Pu1 0.000 0.500 0.500
Pu2 0.500 0.000 0.500
Pu3 0.500 0.500 0.500
Zn1 0.000 0.000 0.500
Se1 0.201 0.201 0.669
Se2 0.244 0.709 0.695
Se3 0.268 0.268 0.305
Se4 0.291 0.756 0.305
Se5 0.709 0.244 0.695
Se6 0.732 0.732 0.695
Se7 0.756 0.291 0.305
Se8 0.799 0.799 0.331

Main lines, in order of rising 2θ (10° ≤ 2θ ≤ 80°):
two_theta, intensity
11.0, 94.8
28.6, 100.0
28.9, 41.5
35.9, 21.6
38.4, 29.1
43.7, 38.0

---

This entry pairs a crystal structure of BaBi4O8 with its theoretical powder XRD pattern. Radiation: λ = 1.5418 Å (Cu Kα). Structure: a cell relaxed with PBE.
Peak positions follow from Bragg's law for the DFT cell and can differ from measured ones.

Structural model:
Cell lengths 6.498, 6.498, 7.682 Å; angles 90.00, 90.00, 120.00 degrees
Fractional coordinates of all 13 atoms:
Ba1 0.000 0.000 0.000
Bi1 0.333 0.667 0.270
Bi2 0.333 0.667 0.730
Bi3 0.667 0.333 0.270
Bi4 0.667 0.333 0.730
O1 0.000 0.327 0.262
O2 0.000 0.673 0.738
O3 0.327 0.000 0.262
O4 0.327 0.327 0.738
O5 0.333 0.667 0.000
O6 0.667 0.333 0.000
O7 0.673 0.000 0.738
O8 0.673 0.673 0.262

Main lines, in order of rising 2θ (10° ≤ 2θ ≤ 80°):
two_theta, intensity
15.7, 35.6
23.2, 31.0
27.5, 100.0
28.1, 55.9
36.2, 38.5
48.5, 28.4

---

This entry pairs a crystal structure of AcNbAl with its theoretical powder XRD pattern. Radiation: λ = 1.5418 Å (Cu Kα). Structure: a cell relaxed with PBE.
Peak positions follow from Bragg's law for the DFT cell and can differ from measured ones.

Structural model:
Cell lengths 3.684, 3.684, 11.642 Å; angles 90.00, 90.00, 90.00 degrees
Fractional coordinates of all 6 atoms:
Ac1 0.000 0.000 0.195
Ac2 0.000 0.000 0.805
Nb1 0.500 0.500 0.399
Nb2 0.500 0.500 0.601
Al1 0.000 0.000 0.500
Al2 0.500 0.500 0.000

Main lines, in order of rising 2θ (10° ≤ 2θ ≤ 80°):
two_theta, intensity
25.4, 51.6
28.7, 94.9
33.5, 100.0
34.4, 89.0
52.7, 44.5
61.1, 47.6

---

This entry pairs a crystal structure of TbBe2BRu with its theoretical powder XRD pattern. Radiation: λ = 1.5418 Å (Cu Kα). Structure: a cell relaxed with PBE.
Peak positions follow from Bragg's law for the DFT cell and can differ from measured ones.

Structural model:
Cell lengths 5.780, 5.780, 5.780 Å; angles 144.80, 143.93, 51.29 degrees
Fractional coordinates of all 5 atoms:
Tb1 0.000 0.000 0.000
Be1 0.633 0.633 0.000
Be2 0.771 0.271 0.500
B1 0.381 0.381 0.000
Ru1 0.264 0.764 0.500

Main lines, in order of rising 2θ (10° ≤ 2θ ≤ 80°):
two_theta, intensity
26.3, 61.7
26.9, 67.4
34.4, 33.1
36.0, 42.8
40.0, 100.0
51.0, 31.2

---

This entry pairs a crystal structure of Rb2PuCl2F4 with its theoretical powder XRD pattern. Radiation: λ = 1.5418 Å (Cu Kα). Structure: a cell relaxed with PBE.
Peak positions follow from Bragg's law for the DFT cell and can differ from measured ones.

Structural model:
Cell lengths 6.926, 6.926, 6.926 Å; angles 119.91, 119.91, 90.16 degrees
Fractional coordinates of all 9 atoms:
Rb1 0.250 0.750 0.500
Rb2 0.750 0.250 0.500
Pu1 0.000 0.000 0.000
Cl1 0.271 0.271 0.000
Cl2 0.729 0.729 0.000
F1 0.216 0.216 0.432
F2 0.216 0.784 0.000
F3 0.784 0.216 0.000
F4 0.784 0.784 0.568

Main lines, in order of rising 2θ (10° ≤ 2θ ≤ 80°):
two_theta, intensity
15.7, 91.9
25.7, 100.0
30.3, 55.0
36.6, 29.8
45.3, 42.2
52.8, 28.7

---

This entry pairs a crystal structure of Na2NdTlI6 with its theoretical powder XRD pattern. Radiation: λ = 1.5418 Å (Cu Kα). Structure: a cell relaxed with PBE.
Peak positions follow from Bragg's law for the DFT cell and can differ from measured ones.

Structural model:
Cell lengths 8.894, 8.894, 8.894 Å; angles 55.02, 55.02, 55.02 degrees
Fractional coordinates of all 10 atoms:
Na1 0.000 0.000 0.000
Na2 0.489 0.489 0.489
Nd1 0.678 0.678 0.678
Tl1 0.190 0.190 0.190
I1 0.071 0.420 0.760
I2 0.276 0.867 0.625
I3 0.420 0.760 0.071
I4 0.625 0.276 0.867
I5 0.760 0.071 0.420
I6 0.867 0.625 0.276

Main lines, in order of rising 2θ (10° ≤ 2θ ≤ 80°):
two_theta, intensity
14.7, 43.1
20.1, 20.7
24.7, 100.0
32.3, 64.1
37.9, 44.5
42.2, 23.8

---

This entry pairs a crystal structure of SmSi4Rh4 with its theoretical powder XRD pattern. Radiation: λ = 1.5418 Å (Cu Kα). Structure: a cell relaxed with PBE.
Peak positions follow from Bragg's law for the DFT cell and can differ from measured ones.

Structural model:
Cell lengths 6.277, 6.277, 6.277 Å; angles 97.07, 97.07, 138.93 degrees
Fractional coordinates of all 9 atoms:
Sm1 0.000 0.000 0.000
Si1 0.214 0.344 0.557
Si2 0.344 0.786 0.130
Si3 0.656 0.214 0.870
Si4 0.786 0.656 0.443
Rh1 0.128 0.612 0.741
Rh2 0.388 0.128 0.516
Rh3 0.612 0.872 0.484
Rh4 0.872 0.388 0.259

Main lines, in order of rising 2θ (10° ≤ 2θ ≤ 80°):
two_theta, intensity
31.5, 100.0
34.1, 66.6
41.0, 32.5
44.3, 58.1
54.4, 34.6
59.4, 17.3

---

This entry pairs a crystal structure of Tm4Zn3Au with its theoretical powder XRD pattern. Radiation: λ = 1.5418 Å (Cu Kα). Structure: a cell relaxed with PBE.
Peak positions follow from Bragg's law for the DFT cell and can differ from measured ones.

Structural model:
Cell lengths 3.543, 3.543, 13.992 Å; angles 90.00, 90.00, 90.00 degrees
Fractional coordinates of all 8 atoms:
Tm1 0.000 0.000 0.125
Tm2 0.000 0.000 0.375
Tm3 0.000 0.000 0.625
Tm4 0.000 0.000 0.875
Zn1 0.500 0.500 0.000
Zn2 0.500 0.500 0.246
Zn3 0.500 0.500 0.754
Au1 0.500 0.500 0.500

Main lines, in order of rising 2θ (10° ≤ 2θ ≤ 80°):
two_theta, intensity
35.8, 51.0
36.1, 100.0
51.6, 18.0
64.6, 36.5
65.0, 17.8
76.5, 11.1

---

This entry pairs a crystal structure of SnIrC with its theoretical powder XRD pattern. Radiation: λ = 1.5418 Å (Cu Kα). Structure: a cell relaxed with PBE.
Peak positions follow from Bragg's law for the DFT cell and can differ from measured ones.

Structural model:
Cell lengths 3.151, 3.277, 4.664 Å; angles 90.00, 90.00, 90.00 degrees
Fractional coordinates of all 3 atoms:
Sn1 0.000 0.000 0.000
Ir1 0.500 0.500 0.610
C1 0.500 0.000 0.379

Main lines, in order of rising 2θ (10° ≤ 2θ ≤ 80°):
two_theta, intensity
19.0, 32.4
33.4, 100.0
34.3, 98.4
39.7, 68.2
56.6, 33.8
67.5, 28.5

---

This entry pairs a crystal structure of PtW2 with its theoretical powder XRD pattern. Radiation: λ = 1.5418 Å (Cu Kα). Structure: a cell relaxed with PBE.
Peak positions follow from Bragg's law for the DFT cell and can differ from measured ones.

Structural model:
Cell lengths 5.412, 5.412, 6.817 Å; angles 103.82, 103.82, 29.45 degrees
Fractional coordinates of all 6 atoms:
Pt1 0.000 0.000 0.000
Pt2 0.674 0.674 0.342
W1 0.064 0.064 0.617
W2 0.334 0.334 0.664
W3 0.397 0.397 0.281
W4 0.722 0.722 0.954

Main lines, in order of rising 2θ (10° ≤ 2θ ≤ 80°):
two_theta, intensity
37.3, 26.1
39.1, 42.4
41.0, 29.2
41.2, 28.9
42.3, 100.0
65.5, 18.8